Theoretical X-ray diffraction stick pattern
Compound: Cs3PrU2S6
Radiation: Cu Kα, 1.54184 Å
Structure: a crystal structure in Alexandria, relaxed with PBE
Neutral-atom scattering factors, no anomalous dispersion.

Crystal structure
```
data_Cs3PrU2S6
_chemical_formula_sum 'Cs6 Pr2 U4 S12'
_symmetry_space_group_name_H-M 'C 1 2/m 1'
_symmetry_Int_Tables_number 12
_symmetry_space_group_name_Hall '-C 2y'
_cell_length_a 7.206
_cell_length_b 12.481
_cell_length_c 8.464
_cell_angle_alpha 90.00
_cell_angle_beta 106.49
_cell_angle_gamma 90.00
loop_
_atom_site_label
_atom_site_type_symbol
_atom_site_fract_x
_atom_site_fract_y
_atom_site_fract_z
Cs1 Cs 0.000 0.000 0.000
Cs2 Cs 0.000 0.336 0.000
Pr1 Pr 0.000 0.500 0.500
U1 U 0.000 0.167 0.500
S1 S 0.215 0.000 0.683
S2 S 0.234 0.327 0.684
```

Most intense lines, 2θ = 15–90°, low angle first:
(0 0 2), 21.9 deg, d = 4.058 Å, I 34
(2 0 0), 25.8 deg, d = 3.455 Å, I 60
(1 3 1), 28.8 deg, d = 3.100 Å, I 100
(2 0 2), 38.7 deg, d = 2.325 Å, I 39
(0 6 0), 43.5 deg, d = 2.080 Å, I 33
(3 3 1), 49.2 deg, d = 1.851 Å, I 25


Theoretical X-ray diffraction stick pattern
Compound: Cs2PrUS6
Radiation: Cu Kα, 1.54184 Å
Structure: a crystal structure in Alexandria, relaxed with PBE
Neutral-atom scattering factors, no anomalous dispersion.

Crystal structure
```
data_Cs2PrUS6
_chemical_formula_sum 'Cs4 Pr2 U2 S12'
_symmetry_space_group_name_H-M 'P 4/m n c'
_symmetry_Int_Tables_number 128
_symmetry_space_group_name_Hall '-P 4 2n'
_cell_length_a 7.622
_cell_length_b 7.622
_cell_length_c 10.778
_cell_angle_alpha 90.00
_cell_angle_beta 90.00
_cell_angle_gamma 90.00
loop_
_atom_site_label
_atom_site_type_symbol
_atom_site_fract_x
_atom_site_fract_y
_atom_site_fract_z
Cs1 Cs 0.000 0.500 0.250
Pr1 Pr 0.000 0.000 0.000
U1 U 0.000 0.000 0.500
S1 S 0.000 0.000 0.263
S2 S 0.236 0.237 0.500
```

Most intense lines, 2θ = 15–90°, low angle first:
(2 0 0), 23.3 deg, d = 3.811 Å, I 100
(2 2 0), 33.2 deg, d = 2.695 Å, I 44
(3 1 2), 41.0 deg, d = 2.200 Å, I 46
(4 0 0), 47.7 deg, d = 1.905 Å, I 31
(4 2 0), 53.8 deg, d = 1.704 Å, I 22
(5 1 2), 64.7 deg, d = 1.440 Å, I 25


Theoretical X-ray diffraction stick pattern
Compound: CsPr2US5
Radiation: Cu Kα, 1.54184 Å
Structure: a crystal structure in Alexandria, relaxed with PBE
Neutral-atom scattering factors, no anomalous dispersion.

Crystal structure
```
data_CsPr2US5
_chemical_formula_sum 'Cs2 Pr4 U2 S10'
_symmetry_space_group_name_H-M 'I m m m'
_symmetry_Int_Tables_number 71
_symmetry_space_group_name_Hall '-I 2 2'
_cell_length_a 5.084
_cell_length_b 7.388
_cell_length_c 13.968
_cell_angle_alpha 90.00
_cell_angle_beta 90.00
_cell_angle_gamma 90.00
loop_
_atom_site_label
_atom_site_type_symbol
_atom_site_fract_x
_atom_site_fract_y
_atom_site_fract_z
Cs1 Cs 0.000 0.000 0.000
Pr1 Pr 0.000 0.500 0.206
U1 U 0.000 0.000 0.500
S1 S 0.000 0.232 0.348
S2 S 0.000 0.500 0.000
```

Most intense lines, 2θ = 15–90°, low angle first:
(0 2 0), 24.1 deg, d = 3.694 Å, I 25
(1 1 2), 24.8 deg, d = 3.592 Å, I 100
(2 0 0), 35.3 deg, d = 2.540 Å, I 45
(1 2 3), 35.7 deg, d = 2.515 Å, I 20
(1 3 2), 42.8 deg, d = 2.112 Å, I 26
(2 2 4), 50.8 deg, d = 1.796 Å, I 17


Theoretical X-ray diffraction stick pattern
Compound: Cs2PrSmSe4
Radiation: Cu Kα, 1.54184 Å
Structure: a crystal structure in Alexandria, relaxed with PBE
Neutral-atom scattering factors, no anomalous dispersion.

Crystal structure
```
data_Cs2PrSmSe4
_chemical_formula_sum 'Cs2 Pr1 Sm1 Se4'
_symmetry_space_group_name_H-M 'P 1 2/m 1'
_symmetry_Int_Tables_number 10
_symmetry_space_group_name_Hall '-P 2y'
_cell_length_a 7.612
_cell_length_b 4.394
_cell_length_c 8.781
_cell_angle_alpha 90.00
_cell_angle_beta 106.77
_cell_angle_gamma 90.00
loop_
_atom_site_label
_atom_site_type_symbol
_atom_site_fract_x
_atom_site_fract_y
_atom_site_fract_z
Cs1 Cs 0.000 0.000 0.000
Cs2 Cs 0.500 0.500 0.000
Pr1 Pr 0.000 0.500 0.500
Sm1 Sm 0.500 0.000 0.500
Se1 Se 0.235 0.000 0.691
Se2 Se 0.274 0.500 0.311
```

Most intense lines, 2θ = 15–90°, low angle first:
(1 1 1), 27.4 deg, d = 3.258 Å, I 100
(2 0 2), 37.0 deg, d = 2.428 Å, I 34
(0 2 0), 41.1 deg, d = 2.197 Å, I 36
(2 2 -2), 50.1 deg, d = 1.822 Å, I 19
(2 2 2), 56.5 deg, d = 1.629 Å, I 17
(1 3 1), 66.7 deg, d = 1.402 Å, I 18